Starting from a GGA-PBE-relaxed structure, the XRD peak list of NaCaMgSn was simulated for Cu Kα.
Neutral-atom scattering factors, no anomalous dispersion.

The 10 most intense peaks (15 to 90 degrees two-theta), by angle:
d 4.348, intensity 48
d 3.766, intensity 15
d 2.663, intensity 100
d 2.271, intensity 27
d 1.883, intensity 18
d 1.728, intensity 12
d 1.537, intensity 36
d 1.331, intensity 11
d 1.273, intensity 10
d 1.191, intensity 16

a = 7.532 Å, b = 7.532 Å, c = 7.532 Å
α = 90.00°, β = 90.00°, γ = 90.00°
Space group F-43m (No. 216)
Inequivalent atoms, fractional coordinates:
Na  0.000  0.000  0.000 [4 per cell]
Ca  0.250  0.250  0.250 [4 per cell]
Mg  0.250  0.250  0.750 [4 per cell]
Sn  0.000  0.000  0.500 [4 per cell]